Structure and computed powder X-ray diffraction pattern of K2Rh3O6 (DFT lattice parameters and positions (GGA-PBE); a wavelength of 1.5418 Å).
Intensities are scaled so that the largest is 1000.

Top 10 peaks for 2θ from 15° to 90°, by intensity:
hkl 1 3 1, 38.49°, intensity 1000; hkl 2 0 0, 34.19°, intensity 584; hkl 0 0 2, 29.90°, intensity 375; hkl 2 0 -1, 33.05°, intensity 326; hkl 0 6 0, 58.28°, intensity 296; hkl 2 0 2, 52.75°, intensity 290; hkl 1 3 2, 48.64°, intensity 243; hkl 3 3 1, 66.88°, intensity 219; hkl 3 3 0, 60.50°, intensity 190; hkl 1 3 3, 61.83°, intensity 186

Structural model:
```
data_K2Rh3O6
_cell_length_a 5.4853
_cell_length_b 9.4975
_cell_length_c 6.2476
_cell_angle_alpha 90.00
_cell_angle_beta 106.95
_cell_angle_gamma 90.00
_symmetry_space_group_name_H-M 'C 1 2/m 1'
_symmetry_Int_Tables_number 12
loop_
_symmetry_equiv_pos_as_xyz
'x,y,z'
'-x,-y,-z'
'-x,y,-z'
'x,-y,z'
'x+1/2,y+1/2,z'
'-x+1/2,-y+1/2,-z'
'-x+1/2,y+1/2,-z'
'x+1/2,-y+1/2,z'
loop_
_atom_site_label
_atom_site_type_symbol
_atom_site_fract_x
_atom_site_fract_y
_atom_site_fract_z
_atom_site_occupancy
K1 K 0.0000 0.1669 0.0000 1
Rh1 Rh 0.0000 0.0000 0.5000 1
Rh2 Rh 0.0000 0.3340 0.5000 1
O1 O 0.2203 0.1668 0.6618 1
O2 O 0.2213 0.5000 0.6638 1
```